No. 1
Structure and theoretical XRD peak list of CeEr3Tm4 (the GGA-PBE geometry in Alexandria; Cu Kα (λ = 1.5418 Å)).

Cell and atoms:
abc: 10.584 8.436 5.478
angles: 90.00 90.00 90.00
Positions (direct):
Ce 0.000 0.102 0.000
Ce 0.500 0.898 0.500
Er 0.000 0.844 0.538
Er 0.230 0.121 0.470
Er 0.270 0.879 0.970
Er 0.500 0.156 0.038
Er 0.730 0.879 0.970
Er 0.770 0.121 0.470
Tm 0.000 0.400 0.506
Tm 0.000 0.654 0.037
Tm 0.230 0.378 0.972
Tm 0.270 0.622 0.472
Tm 0.500 0.346 0.537
Tm 0.500 0.600 0.006
Tm 0.730 0.622 0.472
Tm 0.770 0.378 0.972

Largest 8 diffraction maxima, most intense first, 2θ from 15° to 90°:
two_theta  I/Imax
31.66  100.0
32.69  22.9
33.88  20.8
57.71  14.3
47.79  14.1
59.23  13.0
42.88  9.8
54.95  8.4

---

No. 2
Structure and theoretical XRD peak list of Tb4Te3N2 (the GGA-PBE geometry in Alexandria; Cu Kα (λ = 1.5418 Å)).

Cell and atoms:
abc: 7.361 11.698 11.072
angles: 90.00 90.00 90.00
Positions (direct):
Tb 0.026 0.091 0.177
Tb 0.026 0.409 0.323
Tb 0.164 0.654 0.117
Tb 0.164 0.846 0.383
Tb 0.336 0.154 0.383
Tb 0.336 0.346 0.117
Tb 0.474 0.591 0.323
Tb 0.474 0.909 0.177
Tb 0.526 0.091 0.823
Tb 0.526 0.409 0.677
Tb 0.664 0.654 0.883
Tb 0.664 0.846 0.617
Tb 0.836 0.154 0.617
Tb 0.836 0.346 0.883
Tb 0.974 0.591 0.677
Tb 0.974 0.909 0.823
Te 0.132 0.162 0.918
Te 0.132 0.338 0.582
Te 0.250 0.000 0.610
Te 0.250 0.500 0.890
Te 0.368 0.662 0.582
Te 0.368 0.838 0.918
Te 0.632 0.162 0.082
Te 0.632 0.338 0.418
Te 0.750 0.000 0.390
Te 0.750 0.500 0.110
Te 0.868 0.662 0.418
Te 0.868 0.838 0.082
N 0.158 0.250 0.250
N 0.250 0.000 0.275
N 0.250 0.500 0.225
N 0.342 0.750 0.250
N 0.658 0.250 0.750
N 0.750 0.000 0.725
N 0.750 0.500 0.775
N 0.842 0.750 0.750

Largest 8 diffraction maxima, most intense first, 2θ from 15° to 90°:
two_theta  I/Imax
30.56  100.0
29.79  59.0
28.10  32.0
25.24  31.9
26.64  29.7
35.28  27.4
27.09  25.2
37.98  23.7

---

No. 3
Structure and theoretical XRD peak list of BaH5Rh (the GGA-PBE geometry in Alexandria; Cu Kα (λ = 1.5418 Å)).

Cell and atoms:
abc: 5.078 5.078 5.078
angles: 138.48 108.41 86.30
Positions (direct):
Ba 0.000 0.000 0.000
H 0.143 0.344 0.798
H 0.454 0.656 0.798
H 0.500 0.000 0.500
H 0.546 0.344 0.202
H 0.857 0.656 0.202
Rh 0.500 0.500 0.000

Largest 8 diffraction maxima, most intense first, 2θ from 15° to 90°:
two_theta  I/Imax
29.00  100.0
38.00  94.2
24.02  79.8
38.86  46.1
30.09  43.9
58.76  40.0
58.12  27.0
65.69  19.1

---

No. 4
Structure and theoretical XRD peak list of UCu2Br8 (the GGA-PBE geometry in Alexandria; Cu Kα (λ = 1.5418 Å)).

Cell and atoms:
abc: 11.102 11.102 14.413
angles: 129.01 129.01 42.03
Positions (direct):
U 0.232 0.768 0.750
U 0.768 0.232 0.250
Cu 0.118 0.149 0.997
Cu 0.149 0.118 0.497
Cu 0.851 0.882 0.503
Cu 0.882 0.851 0.003
Br 0.015 0.584 0.854
Br 0.104 0.132 0.819
Br 0.132 0.104 0.319
Br 0.162 0.719 0.513
Br 0.281 0.838 0.987
Br 0.349 0.422 0.685
Br 0.416 0.985 0.646
Br 0.422 0.349 0.185
Br 0.578 0.651 0.815
Br 0.584 0.015 0.354
Br 0.651 0.578 0.315
Br 0.719 0.162 0.013
Br 0.838 0.281 0.487
Br 0.868 0.896 0.681
Br 0.896 0.868 0.181
Br 0.985 0.416 0.146

Largest 8 diffraction maxima, most intense first, 2θ from 15° to 90°:
two_theta  I/Imax
17.11  100.0
32.45  60.1
17.33  55.2
26.73  48.5
27.06  41.8
48.85  32.4
45.98  30.5
35.07  27.7